This entry pairs a crystal structure of V2NiRh2 with its computed powder diffraction line list. Radiation: CuKα. Structure: a crystal structure in Alexandria, relaxed with GGA-PBE.

Peak list (10 most intense, 2θ = 10–90°, in order of falling intensity)
| d (Å) | Position (°2θ) | I (rel.) | (hkl) |
| --- | --- | --- | --- |
| 2.215 | 40.7 | 100 | 1 2 1 |
| 2.144 | 42.1 | 89 | 5 0 0 |
| 1.989 | 45.6 | 54 | 3 2 -1 |
| 2.038 | 44.4 | 49 | 2 0 2 |
| 2.063 | 43.9 | 47 | 2 2 1 |
| 2.073 | 43.7 | 44 | 3 0 -2 |
| 1.800 | 50.7 | 43 | 4 2 -1 |
| 2.160 | 41.8 | 34 | 2 2 -1 |
| 1.344 | 70.0 | 32 | 1 2 -3 |
| 2.239 | 40.3 | 32 | 2 0 -2 |

Crystal structure
```
data_V2NiRh2
_chemical_formula_sum 'V8 Ni4 Rh8'
_cell_length_a 10.8090
_cell_length_b 5.2776
_cell_length_c 4.6853
_cell_angle_alpha 90.00
_cell_angle_beta 97.38
_cell_angle_gamma 90.00
_symmetry_space_group_name_H-M 'P 1 21/c 1'
_symmetry_Int_Tables_number 14
_symmetry_space_group_name_Hall '-P 2ybc'
loop_
_atom_site_label
_atom_site_fract_x
_atom_site_fract_y
_atom_site_fract_z
V1 0.0000 0.1289 0.2339
V2 0.3924 0.1109 0.3524
Ni1 0.1960 0.6326 0.6349
Rh1 0.1947 0.1244 0.6302
Rh2 0.4033 0.6227 0.3658
```